(1)
# Li2Mg5Cd4
Computed powder XRD pattern, copper Kα. Input: a cell relaxed with PBE.

Cell and atoms:
Unit cell a=7.768 b=3.028 c=9.862 alpha=90.00 beta=95.69 gamma=90.00
Positions (direct):
Li: 0.067 0.000 0.130
Li: 0.933 0.000 0.870
Mg: 0.160 0.000 0.649
Mg: 0.444 0.000 0.177
Mg: 0.500 0.000 0.500
Mg: 0.556 0.000 0.823
Mg: 0.840 0.000 0.351
Cd: 0.194 0.500 0.371
Cd: 0.256 0.500 0.930
Cd: 0.744 0.500 0.070
Cd: 0.806 0.500 0.629

Top 10 peaks for 2θ = 5–70°, low angle first:
2theta  d/Å  I (rel.)  (hkl)
20.46  4.342  82.1  1 0 -2
22.40  3.968  55.8  1 0 2
23.01  3.865  64.8  2 0 0
29.50  3.028  28.5  0 1 0
36.17  2.483  67.1  1 1 -2
37.35  2.407  79.4  1 1 2
37.76  2.383  100.0  2 1 0
41.10  2.196  31.9  3 0 2
48.64  1.872  25.0  3 0 -4
58.20  1.585  36.6  1 1 5



(2)
# CsWSe2Br
Computed powder XRD pattern, copper Kα. Input: a cell relaxed with PBE.

Cell and atoms:
Unit cell a=4.983 b=4.983 c=5.678 alpha=90.00 beta=90.00 gamma=90.00
Positions (direct):
Cs: 0.000 0.000 0.000
W: 0.500 0.500 0.500
Se: 0.000 0.500 0.500
Se: 0.500 0.000 0.500
Br: 0.500 0.500 0.000

Top 10 peaks for 2θ = 5–70°, low angle first:
2theta  d/Å  I (rel.)  (hkl)
17.80  4.983  33.6  1 0 0
23.76  3.745  99.7  1 0 1
25.28  3.523  44.8  1 1 0
29.84  2.994  40.2  1 1 1
31.51  2.839  72.0  0 0 2
36.05  2.491  100.0  2 0 0
43.63  2.074  40.4  2 1 1
48.62  1.873  84.8  2 0 2
51.90  1.762  34.9  2 2 0
62.00  1.497  40.9  2 2 2